TbCe2ThS5: simulated XRD peak list (Cu Kα (λ = 1.5418 Å)), based on a structure optimized by DFT (PBE).

Largest 8 diffraction maxima, by intensity, 5° ≤ 2θ ≤ 70°:
- 2θ = 24.84°, intensity 100, hkl 1 0 2
- 2θ = 25.63°, intensity 94, hkl 1 1 0
- 2θ = 36.54°, intensity 78, hkl 2 0 0
- 2θ = 44.71°, intensity 44, hkl 2 1 2
- 2θ = 43.25°, intensity 22, hkl 1 1 4
- 2θ = 59.47°, intensity 21, hkl 3 1 0
- 2θ = 50.95°, intensity 21, hkl 2 0 4
- 2θ = 52.68°, intensity 18, hkl 2 2 0

Crystal structure
Lattice parameters (Å, degrees): 4.9145 4.9145 10.4783 90.00 90.00 90.00
Space group P4/mmm (No. 123)
Unique sites:
Tb: 0.0000 0.0000 0.0000 x1
Ce: 0.5000 0.5000 0.1935 x2
Th: 0.0000 0.0000 0.5000 x1
S: 0.0000 0.0000 0.2529 x2
S: 0.0000 0.5000 0.0000 x2
S: 0.5000 0.5000 0.5000 x1